Diffraction record for Ce4Ge2Pd. The XRD peak list is calculated, not measured: it uses a structure optimized by DFT (PBE) and CuKα.
Intensities are scaled so that the largest is 100.

Most intense lines, 10 to 80 degrees two-theta, by intensity:
| (hkl) | 2θ (°) | Rel. int. |
| --- | --- | --- |
| 1 1 0 | 37.9 | 100 |
| 0 1 5 | 26.6 | 81 |
| 1 0 10 | 38.2 | 49 |
| 0 1 11 | 40.9 | 35 |
| 1 0 7 | 30.8 | 31 |
| 0 0 21 | 68.6 | 21 |
| 1 0 4 | 24.9 | 19 |
| 2 0 5 | 46.9 | 17 |
| 3 0 0 | 68.4 | 17 |
| 0 2 10 | 54.9 | 17 |
| 1 2 5 | 61.8 | 15 |
| 1 2 11 | 70.4 | 14 |

Structure:
a b c (Å): 4.7537 4.7537 28.7202
angles (deg): 90.00 90.00 120.00
Space group R-3m (No. 166, hexagonal axes)
Asymmetric unit:
Ce1 0.0000 0.0000 0.1208
Ce2 0.0000 0.0000 0.3036
Ge1 0.0000 0.0000 0.4093
Pd1 0.0000 0.0000 0.5000

---

Diffraction record for Ce5Ge5Pd2. The XRD peak list is calculated, not measured: it uses a structure optimized by DFT (PBE) and CuKα.
Intensities are scaled so that the largest is 100.

Most intense lines, 10 to 80 degrees two-theta, by intensity:
| (hkl) | 2θ (°) | Rel. int. |
| --- | --- | --- |
| 3 1 0 | 31.3 | 100 |
| 5 1 -4 | 40.5 | 91 |
| 1 1 2 | 34.1 | 58 |
| 2 0 -4 | 34.3 | 45 |
| 0 2 0 | 42.7 | 41 |
| 6 0 -2 | 36.6 | 40 |
| 4 2 2 | 66.2 | 29 |
| 4 0 2 | 48.0 | 29 |
| 9 1 -2 | 64.3 | 23 |
| 2 2 -4 | 55.9 | 22 |
| 1 1 -6 | 64.8 | 19 |
| 1 1 -3 | 34.6 | 17 |

Structure:
a b c (Å): 15.1650 4.2340 11.1050
angles (deg): 90.00 129.99 90.00
Space group C2/m (No. 12)
Asymmetric unit:
Ce1 0.0000 0.0000 0.0000
Ce2 0.1248 0.5000 0.7930
Ce3 0.1962 0.5000 0.6054
Ge1 0.0000 0.0000 0.5000
Ge2 0.0692 0.0000 0.3354
Ge3 0.1925 0.5000 0.1133
Pd1 0.1104 0.5000 0.2570

---

Diffraction record for CeGe3Pd5. The XRD peak list is calculated, not measured: it uses a structure optimized by DFT (PBE) and CuKα.
Intensities are scaled so that the largest is 100.

Most intense lines, 10 to 80 degrees two-theta, by intensity:
| (hkl) | 2θ (°) | Rel. int. |
| --- | --- | --- |
| 3 1 2 | 35.2 | 100 |
| 0 2 0 | 43.8 | 39 |
| 6 1 0 | 34.2 | 25 |
| 5 1 2 | 39.5 | 20 |
| 5 0 2 | 32.7 | 18 |
| 7 1 2 | 45.3 | 17 |
| 9 0 2 | 47.1 | 16 |
| 0 0 4 | 49.3 | 15 |
| 8 1 0 | 41.6 | 15 |
| 7 0 1 | 33.1 | 14 |
| 0 2 4 | 68.1 | 12 |
| 9 2 2 | 66.2 | 11 |

Structure:
a b c (Å): 20.3852 4.1357 7.3872
angles (deg): 90.00 90.00 90.00
Space group Pnma (No. 62)
Asymmetric unit:
Ce1 0.1437 0.2500 0.1224
Ge1 0.0759 0.7500 0.8502
Ge2 0.0861 0.7500 0.4046
Ge3 0.2389 0.2500 0.6249
Pd1 0.0058 0.7500 0.1283
Pd2 0.0138 0.2500 0.3797
Pd3 0.1159 0.2500 0.6450
Pd4 0.1997 0.7500 0.8240
Pd5 0.2066 0.7500 0.4297

---

Diffraction record for CePm12Ge7. The XRD peak list is calculated, not measured: it uses a structure optimized by DFT (PBE) and CuKα.
Intensities are scaled so that the largest is 100.

Most intense lines, 10 to 80 degrees two-theta, by intensity:
| (hkl) | 2θ (°) | Rel. int. |
| --- | --- | --- |
| 3 1 2 | 30.5 | 100 |
| 4 -3 1 | 26.2 | 47 |
| 2 5 0 | 43.3 | 38 |
| 4 -3 4 | 44.2 | 36 |
| 8 -6 2 | 53.9 | 20 |
| 5 6 2 | 71.6 | 17 |
| 2 5 6 | 72.8 | 16 |
| 0 0 3 | 26.9 | 15 |
| 2 5 3 | 51.7 | 14 |
| 6 2 4 | 63.6 | 12 |
| 3 1 5 | 52.5 | 8 |
| 6 2 1 | 51.3 | 7 |

Structure:
a b c (Å): 15.0609 15.0609 9.9559
angles (deg): 90.00 90.00 120.00
Space group R-3 (No. 148, hexagonal axes)
Asymmetric unit:
Ce1 0.0000 0.0000 0.0000
Pm1 0.0308 0.5954 0.6645
Pm2 0.0531 0.1828 0.3389
Ge1 0.0000 0.0000 0.5000
Ge2 0.0530 0.1809 0.8268

---

Diffraction record for CePm4Ge4. The XRD peak list is calculated, not measured: it uses a structure optimized by DFT (PBE) and CuKα.
Intensities are scaled so that the largest is 100.

Most intense lines, 10 to 80 degrees two-theta, by intensity:
| (hkl) | 2θ (°) | Rel. int. |
| --- | --- | --- |
| 0 0 2 | 29.9 | 100 |
| 3 1 2 | 42.8 | 75 |
| 1 2 1 | 25.8 | 33 |
| 3 1 4 | 70.4 | 33 |
| 2 4 2 | 53.0 | 26 |
| 2 4 4 | 78.3 | 25 |
| 5 0 1 | 50.6 | 16 |
| 0 0 4 | 62.1 | 12 |
| 3 6 1 | 68.4 | 7 |
| 1 0 1 | 17.5 | 3 |
| 1 1 0 | 13.2 | 3 |
| 2 0 0 | 18.8 | 1 |

Structure:
a b c (Å): 9.4553 9.4553 5.9865
angles (deg): 90.00 90.00 90.00
Space group I4/m (No. 87)
Asymmetric unit:
Ce1 0.0000 0.0000 0.0000
Pm1 0.0995 0.6958 0.5000
Ge1 0.1004 0.7082 0.0000

---

Diffraction record for Ce3Pm3Ge4. The XRD peak list is calculated, not measured: it uses a structure optimized by DFT (PBE) and CuKα.
Intensities are scaled so that the largest is 100.

Most intense lines, 10 to 80 degrees two-theta, by intensity:
| (hkl) | 2θ (°) | Rel. int. |
| --- | --- | --- |
| 1 2 2 | 31.2 | 100 |
| 1 1 3 | 33.2 | 99 |
| 1 3 1 | 33.4 | 96 |
| 0 4 2 | 36.4 | 48 |
| 0 2 4 | 36.1 | 46 |
| 2 0 0 | 43.0 | 39 |
| 2 4 2 | 57.6 | 25 |
| 2 2 4 | 57.4 | 24 |
| 1 3 5 | 52.7 | 15 |
| 1 0 2 | 26.5 | 15 |
| 1 6 0 | 54.5 | 15 |
| 1 0 6 | 53.9 | 14 |

Structure:
a b c (Å): 4.2052 11.0231 11.1596
angles (deg): 90.00 90.00 90.00
Space group Amm2 (No. 38)
Asymmetric unit:
Ce1 0.0000 0.0000 0.0000
Ce2 0.5000 0.2471 0.0748
Pm1 0.0000 0.0000 0.6552
Pm2 0.0000 0.1704 0.3264
Ge1 0.5000 0.0000 0.1993
Ge2 0.5000 0.0000 0.4535
Ge3 0.5000 0.1241 0.8271

---

Diffraction record for CePm5Ge3. The XRD peak list is calculated, not measured: it uses a structure optimized by DFT (PBE) and CuKα.
Intensities are scaled so that the largest is 100.

Most intense lines, 10 to 80 degrees two-theta, by intensity:
| (hkl) | 2θ (°) | Rel. int. |
| --- | --- | --- |
| 3 0 0 | 33.9 | 100 |
| 3 3 0 | 60.6 | 28 |
| 2 2 2 | 48.7 | 18 |
| 3 0 4 | 68.0 | 13 |
| 1 1 1 | 23.8 | 7 |
| 6 0 0 | 71.2 | 6 |
| 0 0 4 | 57.0 | 4 |
| 3 0 2 | 44.2 | 2 |
| 1 1 0 | 19.3 | 2 |
| 2 2 1 | 41.8 | 2 |
| 4 1 1 | 54.8 | 1 |
| 0 0 2 | 27.6 | 1 |

Structure:
a b c (Å): 9.1747 9.1747 6.4625
angles (deg): 90.00 90.00 120.00
Space group P6_3/mcm (No. 193)
Asymmetric unit:
Ce1 0.0000 0.0000 0.0000
Pm1 0.0000 0.3288 0.2500
Pm2 0.3333 0.6667 0.0000
Ge1 0.0000 0.3358 0.7500

---

Diffraction record for CePr5Ge4. The XRD peak list is calculated, not measured: it uses a structure optimized by DFT (PBE) and CuKα.
Intensities are scaled so that the largest is 100.

Most intense lines, 10 to 80 degrees two-theta, by intensity:
| (hkl) | 2θ (°) | Rel. int. |
| --- | --- | --- |
| 3 1 -2 | 34.8 | 100 |
| 3 1 2 | 35.3 | 95 |
| 3 1 0 | 24.0 | 60 |
| 6 0 0 | 33.9 | 52 |
| 0 2 0 | 34.6 | 51 |
| 6 2 0 | 49.2 | 36 |
| 3 3 2 | 62.4 | 27 |
| 0 0 2 | 25.1 | 26 |
| 3 3 -2 | 62.1 | 18 |
| 9 1 -2 | 60.8 | 18 |
| 0 2 4 | 63.5 | 17 |
| 9 1 2 | 61.8 | 17 |

Structure:
a b c (Å): 15.8895 5.1838 7.1030
angles (deg): 90.00 91.15 90.00
Space group C2/m (No. 12)
Asymmetric unit:
Ce1 0.0000 0.0000 0.0000
Pr1 0.0000 0.0000 0.5000
Pr2 0.1636 0.5000 0.4880
Pr3 0.1660 0.5000 0.0031
Ge1 0.0092 0.5000 0.7529
Ge2 0.1772 0.0000 0.2487

---

Diffraction record for Ce5GePt2. The XRD peak list is calculated, not measured: it uses a structure optimized by DFT (PBE) and CuKα.
Intensities are scaled so that the largest is 100.

Most intense lines, 10 to 80 degrees two-theta, by intensity:
| (hkl) | 2θ (°) | Rel. int. |
| --- | --- | --- |
| 1 3 3 | 36.0 | 100 |
| 1 3 1 | 32.3 | 65 |
| 0 0 6 | 33.5 | 43 |
| 2 0 0 | 39.9 | 40 |
| 0 0 2 | 11.0 | 40 |
| 1 1 5 | 35.3 | 31 |
| 1 3 5 | 42.7 | 26 |
| 2 0 6 | 53.0 | 23 |
| 3 3 1 | 67.6 | 15 |
| 3 3 3 | 69.9 | 15 |
| 0 2 5 | 32.4 | 12 |
| 0 6 2 | 52.1 | 11 |

Structure:
a b c (Å): 4.5199 10.7917 16.0645
angles (deg): 90.00 90.00 90.00
Space group Cmcm (No. 63)
Asymmetric unit:
Ce1 0.0000 0.0761 0.0755
Ce2 0.0000 0.2942 0.7500
Ce3 0.0000 0.4121 0.1114
Ge1 0.0000 0.0044 0.7500
Pt1 0.0000 0.2548 0.5673

---

Diffraction record for Ce4GePt. The XRD peak list is calculated, not measured: it uses a structure optimized by DFT (PBE) and CuKα.
Intensities are scaled so that the largest is 100.

Most intense lines, 10 to 80 degrees two-theta, by intensity:
| (hkl) | 2θ (°) | Rel. int. |
| --- | --- | --- |
| 2 1 1 | 32.1 | 100 |
| 3 1 0 | 39.9 | 51 |
| 1 1 2 | 36.2 | 44 |
| 2 0 2 | 40.5 | 25 |
| 4 0 2 | 61.2 | 24 |
| 3 3 2 | 64.2 | 21 |
| 2 1 3 | 56.3 | 20 |
| 1 0 0 | 12.4 | 19 |
| 5 2 1 | 73.2 | 14 |
| 3 1 4 | 79.5 | 14 |
| 2 2 0 | 35.5 | 10 |
| 4 2 0 | 57.7 | 8 |

Structure:
a b c (Å): 7.1493 7.1493 5.7010
angles (deg): 90.00 90.00 90.00
Space group P4/mcc (No. 124)
Asymmetric unit:
Ce1 0.1433 0.3510 0.0000
Ge1 0.5000 0.5000 0.2500
Pt1 0.0000 0.0000 0.2500

---

Diffraction record for CeGe12Pt4. The XRD peak list is calculated, not measured: it uses a structure optimized by DFT (PBE) and CuKα.
Intensities are scaled so that the largest is 100.

Most intense lines, 10 to 80 degrees two-theta, by intensity:
| (hkl) | 2θ (°) | Rel. int. |
| --- | --- | --- |
| 2 2 0 | 29.0 | 100 |
| 4 2 2 | 51.4 | 84 |
| 3 1 0 | 32.5 | 82 |
| 4 2 0 | 46.7 | 77 |
| 2 0 0 | 20.4 | 50 |
| 3 2 1 | 38.7 | 36 |
| 4 1 3 | 53.7 | 34 |
| 6 0 2 | 68.1 | 30 |
| 2 2 2 | 35.7 | 21 |
| 4 4 4 | 75.7 | 18 |
| 4 0 0 | 41.5 | 17 |
| 6 4 0 | 79.4 | 15 |

Structure:
a b c (Å): 8.7064 8.7064 8.7064
angles (deg): 90.00 90.00 90.00
Space group Im-3 (No. 204)
Asymmetric unit:
Ce1 0.0000 0.0000 0.0000
Ge1 0.0000 0.1499 0.3537
Pt1 0.2500 0.2500 0.2500

---

Diffraction record for CePu2Ge2Pt2. The XRD peak list is calculated, not measured: it uses a structure optimized by DFT (PBE) and CuKα.
Intensities are scaled so that the largest is 100.

Most intense lines, 10 to 80 degrees two-theta, by intensity:
| (hkl) | 2θ (°) | Rel. int. |
| --- | --- | --- |
| 1 0 7 | 33.7 | 100 |
| 1 1 0 | 40.5 | 74 |
| 0 2 7 | 53.7 | 27 |
| 0 0 3 | 10.3 | 26 |
| 2 1 7 | 69.3 | 26 |
| 1 0 4 | 27.0 | 18 |
| 0 1 14 | 55.5 | 17 |
| 3 0 0 | 73.6 | 13 |
| 0 1 8 | 36.4 | 11 |
| 0 1 11 | 45.4 | 10 |
| 2 0 14 | 70.9 | 10 |
| 1 1 15 | 69.2 | 9 |

Structure:
a b c (Å): 4.4557 4.4557 25.6648
angles (deg): 90.00 90.00 120.00
Space group R-3m (No. 166, hexagonal axes)
Asymmetric unit:
Ce1 0.0000 0.0000 0.0000
Pu1 0.0000 0.0000 0.1391
Ge1 0.0000 0.0000 0.2640
Pt1 0.0000 0.0000 0.4186